1.
The following is a simulated powder diffractogram of MgFe2Co. It was derived from DFT lattice parameters and positions (PBE), using Cu Kα (weighted mean of Kα1 and Kα2).

Main lines, by intensity (2θ = 10–90°):
2θ/deg	d [Å]	I/Imax	hkl
42.18	2.143	100	1 1 2
47.35	1.920	35	2 0 0
84.48	1.147	23	3 1 2
73.33	1.291	17	2 0 4
52.47	1.744	13	0 0 4
26.50	3.364	11	1 0 1
69.20	1.358	10	2 2 0
55.07	1.668	3	2 1 1
45.61	1.989	2	1 0 3
32.99	2.715	2	1 1 0
25.54	3.488	2	0 0 2
67.84	1.381	1	2 1 3

```
data_MgFe2Co
_space_group_name_H-M_alt 'I 4/m m m'
_space_group_IT_number 139
_space_group_name_Hall '-I 4 2'
_cell_length_a 3.840
_cell_length_b 3.840
_cell_length_c 6.976
_cell_angle_alpha 90.00
_cell_angle_beta 90.00
_cell_angle_gamma 90.00
loop_
_atom_site_label
_atom_site_type_symbol
_atom_site_fract_x
_atom_site_fract_y
_atom_site_fract_z
Mg1 Mg 0.000 0.000 0.000
Fe1 Fe 0.000 0.500 0.250
Co1 Co 0.000 0.000 0.500
```

---

2.
The following is a simulated powder diffractogram of Mg2Fe2Co. It was derived from DFT lattice parameters and positions (PBE), using Cu Kα (weighted mean of Kα1 and Kα2).

Main lines, by intensity (2θ = 10–90°):
2θ/deg	d [Å]	I/Imax	hkl
40.04	2.252	100	2 1 1
20.72	4.286	77	0 0 1
48.66	1.871	39	3 1 0
42.17	2.143	37	0 0 2
66.32	1.409	29	3 1 2
53.43	1.715	28	3 1 1
36.92	2.435	26	2 0 1
33.87	2.646	13	2 1 0
75.65	1.257	13	2 1 3
43.25	2.092	9	2 2 0
86.98	1.120	8	5 1 1
60.40	1.533	7	3 2 1

```
data_Mg2Fe2Co
_space_group_name_H-M_alt 'P 4/m b m'
_space_group_IT_number 127
_space_group_name_Hall '-P 4 2ab'
_cell_length_a 5.917
_cell_length_b 5.917
_cell_length_c 4.286
_cell_angle_alpha 90.00
_cell_angle_beta 90.00
_cell_angle_gamma 90.00
loop_
_atom_site_label
_atom_site_type_symbol
_atom_site_fract_x
_atom_site_fract_y
_atom_site_fract_z
Mg1 Mg 0.175 0.325 0.000
Fe1 Fe 0.133 0.633 0.500
Co1 Co 0.000 0.000 0.500
```

---

3.
The following is a simulated powder diffractogram of MgFe2Co. It was derived from DFT lattice parameters and positions (PBE), using Cu Kα (weighted mean of Kα1 and Kα2).

Main lines, by intensity (2θ = 10–90°):
2θ/deg	d [Å]	I/Imax	hkl
42.98	2.104	100	1 1 -1
43.25	2.092	99	0 1 2
43.43	2.084	51	1 0 1
44.02	2.057	49	0 2 0
18.26	4.859	30	0 0 1
63.55	1.464	30	1 2 1
78.81	1.214	19	0 0 4
79.76	1.202	14	1 1 3
79.21	1.209	14	2 1 0
61.66	1.504	14	1 0 -3
80.41	1.194	14	0 3 2
80.22	1.197	14	1 3 -1

```
data_MgFe2Co
_space_group_name_H-M_alt 'P 1 2/m 1'
_space_group_IT_number 10
_space_group_name_Hall '-P 2y'
_cell_length_a 2.580
_cell_length_b 4.114
_cell_length_c 4.955
_cell_angle_alpha 90.00
_cell_angle_beta 101.27
_cell_angle_gamma 90.00
loop_
_atom_site_label
_atom_site_type_symbol
_atom_site_fract_x
_atom_site_fract_y
_atom_site_fract_z
Mg1 Mg 0.000 0.000 0.000
Fe1 Fe 0.275 0.500 0.731
Co1 Co 0.500 0.000 0.500
```